For K2RbDyV2O8, a PBE+U-relaxed structure gives the computed powder diffractogram in this record (a wavelength of 1.5418 Å).
Neutral-atom scattering factors, no anomalous dispersion.

Top 10 peaks for 2θ = 10–80°, low angle first:
2theta	d (Å)	I/Imax	(hkl)
11.4	7.794	20	0 0 1
17.0	5.220	38	1 0 0
20.5	4.337	24	1 0 1
28.6	3.123	100	0 1 2
29.6	3.014	89	1 1 0
41.6	2.169	49	2 0 2
51.9	1.760	35	1 2 2
52.6	1.740	17	3 0 0
56.2	1.636	23	1 1 4
61.5	1.507	16	2 2 0

Cell and atoms:
Cell lengths 6.0279, 6.0279, 7.7937 Å; angles 90.00, 90.00, 120.00 degrees
Space group P-3m1 (No. 164)
Asymmetric unit:
K: 0.3333 0.6667 0.1965
Rb: 0.0000 0.0000 0.5000
Dy: 0.0000 0.0000 0.0000
V: 0.3333 0.6667 0.7493
O: 0.1747 0.3494 0.8280
O: 0.3333 0.6667 0.5332